Record 1
# Li3V3B2O10
Simulated XRD peak list, CuKα. Input: the PBE+U geometry in the Materials Project.

The 10 most intense peaks (2θ from 10° to 80°), low angle first:
hkl	d [Å]	2θ/deg	I (rel.)
0 1 -1	7.380	11.99	64
0 0 2	6.114	14.49	59
0 1 -2	5.096	17.40	87
0 2 -1	4.333	20.50	34
0 1 -3	3.726	23.88	35
0 2 2	3.701	24.05	43
1 2 0	2.554	35.14	100
1 -2 0	2.529	35.49	68
0 2 5	2.167	41.68	34
2 0 0	1.519	60.99	35

Structural model:
Unit cell a=3.0387 b=9.2697 c=12.2273 alpha=89.75 beta=89.91 gamma=89.41
Space group P1 (No. 1)
Asymmetric unit:
Li (0.0000, 0.0000, 0.0000) (multiplicity 1)
Li (0.0002, 0.0192, 0.2887) (multiplicity 1)
Li (0.0010, 0.5321, 0.7972) (multiplicity 1)
Li (0.4977, 0.5124, 0.2906) (multiplicity 1)
Li (0.4976, 0.7445, 0.6909) (multiplicity 1)
Li (0.4984, 0.9910, 0.7991) (multiplicity 1)
V (0.4695, 0.7797, 0.1750) (multiplicity 1)
V (0.4991, 0.2520, 0.3977) (multiplicity 1)
V (0.5191, 0.2634, 0.9023) (multiplicity 1)
V (0.9964, 0.5143, 0.0745) (multiplicity 1)
V (0.9985, 0.0074, 0.5806) (multiplicity 1)
V (0.9980, 0.5219, 0.5103) (multiplicity 1)
B (0.4956, 0.2887, 0.6527) (multiplicity 1)
B (0.4973, 0.2419, 0.1478) (multiplicity 1)
B (0.5001, 0.7437, 0.9241) (multiplicity 1)
B (0.5025, 0.7931, 0.4269) (multiplicity 1)
O (0.0009, 0.3996, 0.3760) (multiplicity 1)
O (0.0098, 0.3986, 0.9424) (multiplicity 1)
O (0.0135, 0.8944, 0.1455) (multiplicity 1)
O (0.4937, 0.1711, 0.0504) (multiplicity 1)
O (0.4943, 0.3955, 0.1468) (multiplicity 1)
O (0.4950, 0.1383, 0.6370) (multiplicity 1)
O (0.4953, 0.3539, 0.7497) (multiplicity 1)
O (0.4953, 0.6404, 0.4394) (multiplicity 1)
O (0.4958, 0.6608, 0.0329) (multiplicity 1)
O (0.4973, 0.6602, 0.8357) (multiplicity 1)
O (0.4983, 0.1697, 0.2472) (multiplicity 1)
O (0.4993, 0.3717, 0.5529) (multiplicity 1)
O (0.5014, 0.8786, 0.5207) (multiplicity 1)
O (0.5044, 0.8875, 0.9358) (multiplicity 1)
O (0.5157, 0.8558, 0.3272) (multiplicity 1)
O (0.9784, 0.1478, 0.8649) (multiplicity 1)
O (0.9897, 0.6367, 0.2115) (multiplicity 1)
O (0.9966, 0.6067, 0.6317) (multiplicity 1)
O (0.9985, 0.1212, 0.4450) (multiplicity 1)
O (0.9994, 0.9109, 0.7018) (multiplicity 1)

Record 2
# Li3Mn2CoO6
Simulated XRD peak list, CuKα. Input: the PBE+U geometry in the Materials Project.

The 10 most intense peaks (2θ from 10° to 80°), low angle first:
hkl	d [Å]	2θ/deg	I (rel.)
2 0 -1	4.909	18.07	100
4 0 1	2.679	33.44	20
3 1 0	2.482	36.19	25
1 1 1	2.421	37.14	9
2 0 2	2.251	40.06	33
5 1 -1	2.054	44.08	50
1 1 -2	1.954	46.47	11
7 1 -2	1.592	57.93	9
7 1 1	1.520	60.93	16
3 1 -3	1.514	61.22	15

Structural model:
Unit cell a=15.3994 b=2.8716 c=5.3616 alpha=90.00 beta=105.91 gamma=90.00
Space group C2/m (No. 12)
Asymmetric unit:
Li (0.0000, 0.0000, 0.0000) (multiplicity 2)
Li (0.1654, 0.5000, 0.3346) (multiplicity 4)
Mn (0.1655, 0.0000, 0.8177) (multiplicity 4)
Co (0.0000, 0.5000, 0.5000) (multiplicity 2)
O (0.0763, 0.0000, 0.4038) (multiplicity 4)
O (0.0875, 0.5000, 0.8833) (multiplicity 4)
O (0.2434, 0.5000, 0.7526) (multiplicity 4)

Record 3
# MgMn3CuO8
Simulated XRD peak list, CuKα. Input: the PBE+U geometry in the Materials Project.

The 10 most intense peaks (2θ from 10° to 80°), low angle first:
hkl	d [Å]	2θ/deg	I (rel.)
0 0 1	5.014	17.69	100
4 0 -1	2.505	35.85	37
4 0 -2	2.407	37.37	13
4 0 0	2.105	42.97	65
2 2 1	1.941	46.81	9
2 2 -3	1.641	56.06	15
2 2 2	1.511	61.34	17
6 2 -2	1.467	63.39	11
6 2 -3	1.408	66.38	8
8 0 -4	1.204	79.62	8

Structural model:
Unit cell a=10.1704 b=5.8603 c=6.0522 alpha=90.00 beta=124.06 gamma=90.00
Space group C2/m (No. 12)
Asymmetric unit:
Mg (0.0000, 0.0000, 0.0000) (multiplicity 2)
Mn (0.0000, 0.0000, 0.5000) (multiplicity 2)
Mn (0.2500, 0.2500, 0.5000) (multiplicity 4)
Cu (0.0000, 0.5000, 0.5000) (multiplicity 2)
O (0.0208, 0.2301, 0.2920) (multiplicity 8)
O (0.2323, 0.0000, 0.6976) (multiplicity 4)
O (0.2490, 0.0000, 0.2904) (multiplicity 4)